LuHO2: computed X-ray powder pattern (a wavelength of 1.5418 Å), based on a crystal structure in the Materials Project, relaxed with GGA-PBE.

Structural model:
abc: 3.390 4.762 5.365
angles: 90.00 90.00 90.00
Fractional positions:
Lu 0.000 0.223 0.000
Lu 0.500 0.777 0.500
H 0.000 0.305 0.480
H 0.500 0.695 0.980
O 0.000 0.016 0.641
O 0.000 0.482 0.370
O 0.500 0.518 0.870
O 0.500 0.984 0.141

Main lines, by intensity (2θ from 10° to 90°):
- 25.0°, intensity 100.0
- 32.4°, intensity 57.7
- 31.2°, intensity 45.6
- 47.2°, intensity 38.8
- 49.8°, intensity 37.4
- 33.4°, intensity 24.9



CsTe7Mo6: computed X-ray powder pattern (a wavelength of 1.5418 Å), based on a crystal structure in the Materials Project, relaxed with GGA-PBE.

Structural model:
abc: 10.478 10.478 10.478
angles: 60.23 60.23 60.23
Fractional positions:
Cs 0.120 0.120 0.120
Cs 0.880 0.880 0.880
Te 0.075 0.696 0.336
Te 0.132 0.481 0.745
Te 0.255 0.868 0.519
Te 0.276 0.276 0.276
Te 0.304 0.664 0.925
Te 0.336 0.075 0.696
Te 0.481 0.745 0.132
Te 0.519 0.255 0.868
Te 0.664 0.925 0.304
Te 0.696 0.336 0.075
Te 0.724 0.724 0.724
Te 0.745 0.132 0.481
Te 0.868 0.519 0.255
Te 0.925 0.304 0.664
Mo 0.211 0.381 0.501
Mo 0.314 0.609 0.444
Mo 0.381 0.500 0.211
Mo 0.391 0.556 0.686
Mo 0.444 0.314 0.609
Mo 0.499 0.789 0.619
Mo 0.501 0.211 0.381
Mo 0.556 0.686 0.391
Mo 0.609 0.444 0.314
Mo 0.619 0.499 0.789
Mo 0.686 0.391 0.556
Mo 0.789 0.619 0.499

Main lines, by intensity (2θ from 10° to 90°):
- 10.3°, intensity 100.0
- 40.3°, intensity 66.0
- 26.9°, intensity 58.3
- 29.4°, intensity 42.4
- 47.0°, intensity 26.4
- 35.7°, intensity 22.0



ZrSn: computed X-ray powder pattern (a wavelength of 1.5418 Å), based on a crystal structure in the Materials Project, relaxed with GGA-PBE.

Structural model:
abc: 5.803 5.263 5.972
angles: 90.00 90.00 90.00
Fractional positions:
Zr 0.105 0.250 0.125
Zr 0.395 0.750 0.625
Zr 0.605 0.250 0.375
Zr 0.895 0.750 0.875
Sn 0.106 0.250 0.625
Sn 0.394 0.750 0.125
Sn 0.606 0.250 0.875
Sn 0.894 0.750 0.375

Main lines, by intensity (2θ from 10° to 90°):
- 38.0°, intensity 100.0
- 35.3°, intensity 92.5
- 34.1°, intensity 54.1
- 33.8°, intensity 42.1
- 48.7°, intensity 30.0
- 67.8°, intensity 24.6



LiMnN: computed X-ray powder pattern (a wavelength of 1.5418 Å), based on a crystal structure in the Materials Project, relaxed with GGA-PBE.

Structural model:
abc: 6.788 3.147 4.966
angles: 90.00 90.00 90.00
Fractional positions:
Li 0.104 0.250 0.104
Li 0.396 0.750 0.604
Li 0.604 0.250 0.396
Li 0.896 0.750 0.896
Mn 0.126 0.250 0.585
Mn 0.374 0.750 0.085
Mn 0.626 0.250 0.915
Mn 0.874 0.750 0.415
N 0.156 0.750 0.354
N 0.344 0.250 0.854
N 0.656 0.750 0.146
N 0.844 0.250 0.646

Main lines, by intensity (2θ from 10° to 90°):
- 22.2°, intensity 100.0
- 39.0°, intensity 40.5
- 48.6°, intensity 34.6
- 33.7°, intensity 33.9
- 36.3°, intensity 26.5
- 44.0°, intensity 19.4



ScCoSi: computed X-ray powder pattern (a wavelength of 1.5418 Å), based on a crystal structure in the Materials Project, relaxed with GGA-PBE.

Structural model:
abc: 6.392 3.976 6.867
angles: 90.00 90.00 90.00
Fractional positions:
Sc 0.004 0.250 0.195
Sc 0.496 0.750 0.695
Sc 0.504 0.250 0.305
Sc 0.996 0.750 0.805
Co 0.153 0.750 0.440
Co 0.347 0.250 0.940
Co 0.653 0.750 0.060
Co 0.847 0.250 0.560
Si 0.207 0.250 0.610
Si 0.293 0.750 0.110
Si 0.707 0.250 0.890
Si 0.793 0.750 0.390

Main lines, by intensity (2θ from 10° to 90°):
- 45.7°, intensity 100.0
- 38.5°, intensity 96.9
- 37.4°, intensity 66.8
- 44.5°, intensity 40.8
- 19.0°, intensity 30.5
- 29.5°, intensity 25.1



MgFeAg2SnS4: computed X-ray powder pattern (a wavelength of 1.5418 Å), based on a crystal structure in the Materials Project, relaxed with GGA-PBE.

Structural model:
abc: 7.051 7.051 5.721
angles: 113.68 113.68 103.71
Fractional positions:
Mg 0.000 0.000 0.000
Fe 0.999 0.001 0.500
Ag 0.274 0.726 0.000
Ag 0.725 0.275 0.000
Sn 0.497 0.503 0.500
S 0.082 0.328 0.931
S 0.329 0.086 0.479
S 0.672 0.918 0.069
S 0.914 0.671 0.521

Main lines, by intensity (2θ from 10° to 90°):
- 26.2°, intensity 100.0
- 26.0°, intensity 99.6
- 42.5°, intensity 43.0
- 45.6°, intensity 36.9
- 26.9°, intensity 29.7
- 41.6°, intensity 26.5